HoSb2Pd5: computed XRD peak list (Cu Ka), based on a crystal structure in Alexandria, relaxed with GGA-PBE.

Structural model:
Unit cell a=7.289 b=7.289 c=7.289 alpha=146.48 beta=132.80 gamma=59.13
Sites, in units of the cell vectors:
Ho: 0.000 0.000 0.000
Sb: 0.287 0.787 0.500
Sb: 0.713 0.213 0.500
Pd: 0.140 0.385 0.755
Pd: 0.370 0.615 0.755
Pd: 0.500 0.000 0.500
Pd: 0.630 0.385 0.245
Pd: 0.860 0.615 0.245

Most intense lines, 2θ = 10–90°, in order of rising 2θ:
26.07°, I 254
29.74°, I 340
29.98°, I 291
38.21°, I 1000
41.59°, I 718
42.09°, I 619
43.03°, I 376
61.77°, I 391
78.80°, I 224
79.08°, I 216

---

Ho3SbPd: computed XRD peak list (Cu Ka), based on a crystal structure in Alexandria, relaxed with GGA-PBE.

Structural model:
Unit cell a=9.205 b=9.205 c=7.197 alpha=99.23 beta=99.23 gamma=70.62
Sites, in units of the cell vectors:
Ho: 0.046 0.226 0.041
Ho: 0.152 0.659 0.534
Ho: 0.226 0.046 0.541
Ho: 0.338 0.467 0.089
Ho: 0.341 0.848 0.966
Ho: 0.467 0.338 0.589
Ho: 0.533 0.662 0.411
Ho: 0.659 0.152 0.034
Ho: 0.662 0.533 0.911
Ho: 0.774 0.954 0.459
Ho: 0.848 0.341 0.466
Ho: 0.954 0.774 0.959
Sb: 0.125 0.400 0.744
Sb: 0.400 0.125 0.244
Sb: 0.600 0.875 0.756
Sb: 0.875 0.600 0.256
Pd: 0.045 0.955 0.750
Pd: 0.221 0.779 0.250
Pd: 0.779 0.221 0.750
Pd: 0.955 0.045 0.250

Most intense lines, 2θ = 10–90°, in order of rising 2θ:
25.43°, I 360
28.28°, I 346
29.34°, I 450
31.48°, I 1000
32.24°, I 349
34.05°, I 295
35.03°, I 580
35.14°, I 318
39.90°, I 212
49.84°, I 270

---

HoSbPd6: computed XRD peak list (Cu Ka), based on a crystal structure in Alexandria, relaxed with GGA-PBE.

Structural model:
Unit cell a=5.747 b=5.747 c=4.111 alpha=90.00 beta=90.00 gamma=90.00
Sites, in units of the cell vectors:
Ho: 0.000 0.000 0.000
Sb: 0.500 0.500 0.000
Pd: 0.000 0.500 0.000
Pd: 0.251 0.251 0.500
Pd: 0.251 0.749 0.500
Pd: 0.500 0.000 0.000
Pd: 0.749 0.251 0.500
Pd: 0.749 0.749 0.500

Most intense lines, 2θ = 10–90°, in order of rising 2θ:
21.87°, I 10
30.94°, I 9
38.21°, I 1000
44.06°, I 166
44.59°, I 321
64.48°, I 210
64.90°, I 103
77.12°, I 125
77.88°, I 242
81.79°, I 107

---

HoSc3Pd: computed XRD peak list (Cu Ka), based on a crystal structure in Alexandria, relaxed with GGA-PBE.

Structural model:
Unit cell a=6.735 b=6.735 c=7.338 alpha=119.21 beta=119.21 gamma=71.43
Sites, in units of the cell vectors:
Ho: 0.044 0.044 0.303
Ho: 0.956 0.956 0.697
Sc: 0.106 0.502 0.274
Sc: 0.423 0.423 0.721
Sc: 0.498 0.894 0.726
Sc: 0.502 0.106 0.274
Sc: 0.577 0.577 0.279
Sc: 0.894 0.498 0.726
Pd: 0.275 0.275 0.924
Pd: 0.725 0.725 0.076

Most intense lines, 2θ = 10–90°, in order of rising 2θ:
15.16°, I 587
16.53°, I 325
22.62°, I 913
28.03°, I 737
32.78°, I 379
33.48°, I 1000
34.11°, I 453
39.60°, I 757
42.92°, I 280
54.66°, I 281

---

Number 4 is which compound?
HoSc3Pd